The following is a calculated powder diffractogram of LiFeSbO4. It was derived from a crystal structure in Alexandria, relaxed with GGA+U, using CuKα.
Kinematic intensities with the Lorentz-polarization factor, no thermal factor.

Largest 12 diffraction maxima, most intense first, 2θ from 5° to 70°:
| 2θ (°) | d_spacing | Rel. int. | h k l |
| --- | --- | --- | --- |
| 22.71 | 3.916 | 100 | 1 1 1 |
| 33.86 | 2.648 | 94 | 2 1 1 |
| 14.23 | 6.224 | 52 | 1 0 0 |
| 34.51 | 2.599 | 49 | 1 0 3 |
| 25.21 | 3.533 | 46 | 1 0 2 |
| 60.25 | 1.536 | 44 | 2 2 4 |
| 54.20 | 1.692 | 30 | 3 2 1 |
| 29.07 | 3.072 | 25 | 1 1 2 |
| 59.40 | 1.556 | 22 | 4 0 0 |
| 57.59 | 1.601 | 21 | 1 1 5 |
| 47.39 | 1.918 | 21 | 3 1 1 |
| 41.02 | 2.200 | 21 | 2 2 0 |

Crystal structure
```
data_LiFeSbO4
_chemical_formula_sum 'Li4 Fe4 Sb4 O16'
_space_group_name_H-M_alt 'P 43 2 2'
_space_group_IT_number 95
_cell_length_a 6.2237
_cell_length_b 6.2237
_cell_length_c 8.5815
_cell_angle_alpha 90.00
_cell_angle_beta 90.00
_cell_angle_gamma 90.00
loop_
_space_group_symop_operation_xyz
'x,y,z'
'-y,x,z+3/4'
'-x,-y,z+1/2'
'y,-x,z+1/4'
'x,-y,-z+1/2'
'-y,-x,-z+3/4'
'-x,y,-z'
'y,x,-z+1/4'
loop_
_atom_site_label
_atom_site_type_symbol
_atom_site_fract_x
_atom_site_fract_y
_atom_site_fract_z
Li1 Li 0.0000 0.2157 0.0000
Fe1 Fe 0.2413 0.2413 0.6250
Sb1 Sb 0.2351 0.5000 0.2500
O1 O 0.0272 0.2651 0.2527
O2 O 0.2713 0.4790 0.0141
```